For YTmTlTe3, DFT lattice parameters and positions (GGA-PBE) gives the calculated powder diffraction line list in this record (Cu Kα X-rays).
Lines closer than 0.1° are merged.

Most intense lines, 2θ from 10° to 90°, by angle:
index, d (Å), intensity
1 1 -2, 3.287, 100.0
3 1 1, 3.200, 13.1
6 0 0, 3.066, 60.5
2 0 -4, 2.510, 23.0
5 1 2, 2.268, 26.4
3 1 3, 2.253, 10.8
7 1 -2, 2.217, 29.7
0 2 0, 2.175, 25.6
6 2 0, 1.774, 23.0
2 2 -4, 1.644, 12.8

Atomic structure:
```
data_YTmTlTe3
_chemical_formula_sum 'Y4 Tm4 Tl4 Te12'
_symmetry_space_group_name_H-M 'C 1 2/m 1'
_symmetry_Int_Tables_number 12
_symmetry_space_group_name_Hall '-C 2y'
_cell_length_a 18.9054
_cell_length_b 4.3492
_cell_length_c 10.0460
_cell_angle_alpha 90.00
_cell_angle_beta 103.40
_cell_angle_gamma 90.00
loop_
_atom_site_label
_atom_site_type_symbol
_atom_site_fract_x
_atom_site_fract_y
_atom_site_fract_z
_atom_site_occupancy
Y1 Y 0.1701 0.0000 0.0732 1
Tm1 Tm 0.0022 0.5000 0.2094 1
Tl1 Tl 0.1441 0.0000 0.5526 1
Te1 Te 0.0000 0.0000 0.0000 1
Te2 Te 0.0000 0.5000 0.5000 1
Te3 Te 0.1638 0.5000 0.8490 1
Te4 Te 0.1659 0.5000 0.2891 1
```

For Na2CuSbS3, DFT lattice parameters and positions (GGA-PBE) gives the calculated powder diffraction line list in this record (Cu Kα X-rays).
Lines closer than 0.1° are merged.

Most intense lines, 2θ from 10° to 90°, by angle:
index, d (Å), intensity
0 2 0, 8.575, 100.0
1 2 -1, 4.553, 42.5
0 3 1, 4.217, 23.9
1 3 -1, 3.915, 22.1
1 1 -2, 3.389, 26.0
0 2 2, 2.935, 34.1
2 1 -1, 2.878, 45.7
1 4 1, 2.628, 24.4
2 3 -1, 2.600, 59.7
0 3 3, 1.957, 29.5

Atomic structure:
```
data_Na2CuSbS3
_chemical_formula_sum 'Na8 Cu4 Sb4 S12'
_symmetry_space_group_name_H-M 'P 1 21/c 1'
_symmetry_Int_Tables_number 14
_symmetry_space_group_name_Hall '-P 2ybc'
_cell_length_a 5.8429
_cell_length_b 17.1500
_cell_length_c 7.0072
_cell_angle_alpha 90.00
_cell_angle_beta 116.95
_cell_angle_gamma 90.00
loop_
_atom_site_label
_atom_site_type_symbol
_atom_site_fract_x
_atom_site_fract_y
_atom_site_fract_z
_atom_site_occupancy
Na1 Na 0.0647 0.1133 0.1180 1
Na2 Na 0.3465 0.0384 0.6907 1
Cu1 Cu 0.3815 0.2123 0.8993 1
Sb1 Sb 0.2462 0.6741 0.0185 1
S1 S 0.1577 0.5566 0.8039 1
S2 S 0.2093 0.1955 0.5385 1
S3 S 0.4251 0.6120 0.3736 1
```

For ReAuF6, DFT lattice parameters and positions (GGA-PBE) gives the calculated powder diffraction line list in this record (Cu Kα X-rays).
Lines closer than 0.1° are merged.

Most intense lines, 2θ from 10° to 90°, by angle:
index, d (Å), intensity
2 2 0, 3.298, 100.0
4 0 0, 2.332, 15.9
4 1 1, 2.199, 1.0
4 2 2, 1.904, 49.0
4 4 0, 1.649, 15.4
6 0 2, 1.475, 22.2
4 4 4, 1.346, 5.3
6 2 4, 1.246, 22.8
8 0 0, 1.166, 2.3
8 2 2, 1.099, 12.1

Atomic structure:
```
data_ReAuF6
_chemical_formula_sum 'Re8 Au8 F48'
_symmetry_space_group_name_H-M 'I a -3'
_symmetry_Int_Tables_number 206
_symmetry_space_group_name_Hall '-I 2b 2c 3'
_cell_length_a 9.3277
_cell_length_b 9.3277
_cell_length_c 9.3277
_cell_angle_alpha 90.00
_cell_angle_beta 90.00
_cell_angle_gamma 90.00
loop_
_atom_site_label
_atom_site_type_symbol
_atom_site_fract_x
_atom_site_fract_y
_atom_site_fract_z
_atom_site_occupancy
Re1 Re 0.2500 0.2500 0.2500 1
Au1 Au 0.0000 0.0000 0.0000 1
F1 F 0.0865 0.1372 0.3045 1
```

For Be2SnOs, DFT lattice parameters and positions (GGA-PBE) gives the calculated powder diffraction line list in this record (Cu Kα X-rays).
Lines closer than 0.1° are merged.

Most intense lines, 2θ from 10° to 90°, by angle:
index, d (Å), intensity
1 1 1, 3.493, 100.0
2 0 0, 3.025, 4.8
2 2 0, 2.139, 90.2
3 1 1, 1.824, 50.3
2 2 2, 1.747, 1.3
4 0 0, 1.513, 15.3
3 3 1, 1.388, 20.8
4 2 0, 1.353, 1.6
4 2 2, 1.235, 32.1
5 1 1, 1.164, 16.2

Atomic structure:
```
data_Be2SnOs
_chemical_formula_sum 'Be8 Sn4 Os4'
_symmetry_space_group_name_H-M 'F -4 3 m'
_symmetry_Int_Tables_number 216
_symmetry_space_group_name_Hall 'F -4 2 3'
_cell_length_a 6.0505
_cell_length_b 6.0505
_cell_length_c 6.0505
_cell_angle_alpha 90.00
_cell_angle_beta 90.00
_cell_angle_gamma 90.00
loop_
_atom_site_label
_atom_site_type_symbol
_atom_site_fract_x
_atom_site_fract_y
_atom_site_fract_z
_atom_site_occupancy
Be1 Be 0.0000 0.0000 0.0000 1
Be2 Be 0.2500 0.2500 0.2500 1
Sn1 Sn 0.0000 0.0000 0.5000 1
Os1 Os 0.2500 0.2500 0.7500 1
```